(1)
Diffraction record for Mg6Cd3In. The powder diffractogram is computed, not measured: it uses DFT lattice parameters and positions (GGA-PBE) and Cu Ka.
Lines closer than 0.1° are merged.

Structural model:
Lattice parameters (Å, degrees): 8.4388 5.0901 11.0649 90.00 110.60 90.00
Space group P2_1/m (No. 11)
Inequivalent atoms, fractional coordinates:
Mg1 0.0119 0.2500 0.4183 x2
Mg2 0.1992 0.7500 0.8850 x2
Mg3 0.2058 0.2500 0.2045 x2
Mg4 0.2098 0.7500 0.3737 x2
Mg5 0.3871 0.7500 0.6726 x2
Mg6 0.4195 0.7500 0.1827 x2
Cd1 0.0161 0.7500 0.0853 x2
Cd2 0.3951 0.2500 0.5088 x2
Cd3 0.4079 0.2500 0.0256 x2
In1 0.1859 0.2500 0.7147 x2

Largest 8 diffraction maxima, sorted by position, 2θ = 10–90°:
2θ/deg  I_rel  h k l
19.43  15  0 1 1
20.76  25  1 1 0
32.27  17  3 0 -2
35.27  41  0 2 0
36.95  100  1 1 -4
37.56  53  2 1 2
48.57  17  3 2 -2
64.40  18  1 3 -4

***

(2)
Diffraction record for Mg2CdIn8. The powder diffractogram is computed, not measured: it uses DFT lattice parameters and positions (GGA-PBE) and Cu Ka.
Lines closer than 0.1° are merged.

Structural model:
Lattice parameters (Å, degrees): 20.2146 4.5788 6.5661 90.00 107.81 90.00
Space group C2/m (No. 12)
Inequivalent atoms, fractional coordinates:
Mg1 0.1999 0.0000 0.1014 x4
Cd1 0.0000 0.5000 0.5000 x2
In1 0.0335 0.0000 0.8239 x4
In2 0.1089 0.5000 0.2496 x4
In3 0.1427 0.5000 0.7924 x4
In4 0.2084 0.0000 0.5868 x4

Largest 8 diffraction maxima, sorted by position, 2θ = 10–90°:
2θ/deg  I_rel  h k l
30.02  55  3 1 1
30.34  81  5 1 0
34.00  100  3 1 -2
36.67  54  5 1 -2
38.18  38  7 1 0
38.86  30  4 0 2
39.36  57  0 2 0
39.68  23  8 0 -2

***

(3)
Diffraction record for Mg2Cd2In7. The powder diffractogram is computed, not measured: it uses DFT lattice parameters and positions (GGA-PBE) and Cu Ka.
Lines closer than 0.1° are merged.

Structural model:
Lattice parameters (Å, degrees): 4.7198 13.3438 9.0207 90.00 90.00 90.00
Space group Imm2 (No. 44)
Inequivalent atoms, fractional coordinates:
Mg1 0.0000 0.0000 0.0000 x2
Mg2 0.0000 0.5000 0.2169 x2
Cd1 0.0000 0.3208 0.0016 x4
In1 0.0000 0.1524 0.7281 x4
In2 0.0000 0.1586 0.2633 x4
In3 0.0000 0.3441 0.4961 x4
In4 0.0000 0.5000 0.7914 x2

Largest 8 diffraction maxima, sorted by position, 2θ = 10–90°:
2θ/deg  I_rel  h k l
13.27  12  0 2 0
28.17  17  1 1 2
34.09  100  1 3 2
38.13  20  2 0 0
39.98  14  0 0 4
40.56  16  0 6 0
56.89  11  2 6 0
66.34  14  3 3 2

***

(4)
Diffraction record for Mg5Cd4In2. The powder diffractogram is computed, not measured: it uses DFT lattice parameters and positions (GGA-PBE) and Cu Ka.
Lines closer than 0.1° are merged.

Structural model:
Lattice parameters (Å, degrees): 7.5171 20.6729 3.2250 90.00 90.00 90.00
Space group Pbam (No. 55)
Inequivalent atoms, fractional coordinates:
Mg1 0.0000 0.0000 0.0000 x2
Mg2 0.1473 0.4133 0.0000 x4
Mg3 0.2076 0.6682 0.0000 x4
Cd1 0.0359 0.8680 0.5000 x4
Cd2 0.1767 0.5414 0.5000 x4
In1 0.1177 0.2785 0.5000 x4

Largest 8 diffraction maxima, sorted by position, 2θ = 10–90°:
2θ/deg  I_rel  h k l
20.86  56  1 4 0
27.02  77  2 3 0
27.66  100  0 0 1
32.58  77  1 7 0
34.90  92  1 4 1
36.11  63  3 1 0
37.33  61  1 5 1
39.06  96  2 3 1

***

Please write out number 3 again, unchanged.
Diffraction record for Mg2Cd2In7. The powder diffractogram is computed, not measured: it uses DFT lattice parameters and positions (GGA-PBE) and Cu Ka.
Lines closer than 0.1° are merged.

Structural model:
Lattice parameters (Å, degrees): 4.7198 13.3438 9.0207 90.00 90.00 90.00
Space group Imm2 (No. 44)
Inequivalent atoms, fractional coordinates:
Mg1 0.0000 0.0000 0.0000 x2
Mg2 0.0000 0.5000 0.2169 x2
Cd1 0.0000 0.3208 0.0016 x4
In1 0.0000 0.1524 0.7281 x4
In2 0.0000 0.1586 0.2633 x4
In3 0.0000 0.3441 0.4961 x4
In4 0.0000 0.5000 0.7914 x2

Largest 8 diffraction maxima, sorted by position, 2θ = 10–90°:
2θ/deg  I_rel  h k l
13.27  12  0 2 0
28.17  17  1 1 2
34.09  100  1 3 2
38.13  20  2 0 0
39.98  14  0 0 4
40.56  16  0 6 0
56.89  11  2 6 0
66.34  14  3 3 2